This entry pairs a crystal structure of UP with its computed powder X-ray diffraction pattern. Radiation: λ = 1.5418 Å (Cu Kα). Structure: a crystal structure in the Materials Project, relaxed with PBE.
Kinematic intensities with the Lorentz-polarization factor, no thermal factor.

Atomic structure:
```
data_UP
_cell_length_a 5.564
_cell_length_b 5.564
_cell_length_c 5.564
_cell_angle_alpha 90.00
_cell_angle_beta 90.00
_cell_angle_gamma 90.00
_symmetry_space_group_name_H-M 'F m -3 m'
_symmetry_Int_Tables_number 225
_symmetry_space_group_name_Hall '-F 4 2 3'
loop_
_atom_site_label
_atom_site_type_symbol
_atom_site_fract_x
_atom_site_fract_y
_atom_site_fract_z
U1 U 0.000 0.000 0.000
P1 P 0.000 0.000 0.500
```

Main lines, low angle first (2θ = 10–90°):
2θ 27.77, d = 3.212 Å, intensity 100, (1 1 1); 2θ 32.17, d = 2.782 Å, intensity 91, (2 0 0); 2θ 46.14, d = 1.967 Å, intensity 67, (2 2 0); 2θ 54.71, d = 1.678 Å, intensity 50, (3 1 1); 2θ 57.37, d = 1.606 Å, intensity 24, (2 2 2); 2θ 67.31, d = 1.391 Å, intensity 11, (4 0 0); 2θ 74.30, d = 1.276 Å, intensity 21, (3 3 1); 2θ 76.58, d = 1.244 Å, intensity 32, (4 2 0); 2θ 85.49, d = 1.136 Å, intensity 25, (4 2 2)

This entry pairs a crystal structure of U3P4 with its computed powder X-ray diffraction pattern. Radiation: λ = 1.5418 Å (Cu Kα). Structure: a crystal structure in the Materials Project, relaxed with PBE.
Kinematic intensities with the Lorentz-polarization factor, no thermal factor.

Atomic structure:
```
data_U3P4
_cell_length_a 8.177
_cell_length_b 8.177
_cell_length_c 8.177
_cell_angle_alpha 90.00
_cell_angle_beta 90.00
_cell_angle_gamma 90.00
_symmetry_space_group_name_H-M 'I -4 3 d'
_symmetry_Int_Tables_number 220
_symmetry_space_group_name_Hall 'I -4bd 2c 3'
loop_
_atom_site_label
_atom_site_type_symbol
_atom_site_fract_x
_atom_site_fract_y
_atom_site_fract_z
U1 U 0.000 0.250 0.375
P1 P 0.080 0.080 0.080
```

Main lines, low angle first (2θ = 10–90°):
2θ 26.70, d = 3.338 Å, intensity 100, (2 1 1); 2θ 30.93, d = 2.891 Å, intensity 11, (2 2 0); 2θ 34.69, d = 2.586 Å, intensity 62, (3 1 0); 2θ 41.31, d = 2.185 Å, intensity 40, (3 2 1); 2θ 49.87, d = 1.828 Å, intensity 33, (4 2 0); 2θ 52.49, d = 1.743 Å, intensity 21, (3 3 2); 2θ 57.46, d = 1.604 Å, intensity 27, (4 3 1); 2θ 71.06, d = 1.327 Å, intensity 29, (6 1 1); 2θ 75.32, d = 1.262 Å, intensity 12, (5 4 1); 2θ 87.70, d = 1.113 Å, intensity 23, (7 2 1)

This entry pairs a crystal structure of UP2 with its computed powder X-ray diffraction pattern. Radiation: λ = 1.5418 Å (Cu Kα). Structure: a crystal structure in the Materials Project, relaxed with PBE.
Kinematic intensities with the Lorentz-polarization factor, no thermal factor.

Atomic structure:
```
data_UP2
_cell_length_a 3.778
_cell_length_b 3.778
_cell_length_c 7.700
_cell_angle_alpha 90.00
_cell_angle_beta 90.00
_cell_angle_gamma 90.00
_symmetry_space_group_name_H-M 'P 4/n m m'
_symmetry_Int_Tables_number 129
loop_
_symmetry_equiv_pos_as_xyz
'x,y,z'
'-x,-y,-z'
'-y+1/2,x,z'
'y+1/2,-x,-z'
'-x+1/2,-y+1/2,z'
'x+1/2,y+1/2,-z'
'y,-x+1/2,z'
'-y,x+1/2,-z'
'x+1/2,-y,-z'
'-x+1/2,y,z'
'-y,-x,-z'
'y,x,z'
'-x,y+1/2,-z'
'x,-y+1/2,z'
'y+1/2,x+1/2,-z'
'-y+1/2,-x+1/2,z'
loop_
_atom_site_label
_atom_site_type_symbol
_atom_site_fract_x
_atom_site_fract_y
_atom_site_fract_z
U1 U 0.250 0.250 0.218
P1 P 0.250 0.250 0.857
P2 P 0.250 0.750 0.500
```

Main lines, low angle first (2θ = 10–90°):
2θ 23.10, d = 3.850 Å, intensity 29, (0 0 2); 2θ 26.28, d = 3.391 Å, intensity 100, (1 0 1); 2θ 33.55, d = 2.671 Å, intensity 36, (1 1 0); 2θ 41.13, d = 2.195 Å, intensity 49, (1 1 2); 2θ 42.58, d = 2.123 Å, intensity 29, (1 0 3); 2θ 48.18, d = 1.889 Å, intensity 21, (2 0 0); 2θ 55.70, d = 1.650 Å, intensity 27, (2 1 1); 2θ 66.23, d = 1.411 Å, intensity 17, (2 1 3); 2θ 70.55, d = 1.335 Å, intensity 15, (2 2 0); 2θ 85.02, d = 1.141 Å, intensity 13, (3 1 2)

This entry pairs a crystal structure of UV5P3 with its computed powder X-ray diffraction pattern. Radiation: λ = 1.5418 Å (Cu Kα). Structure: a crystal structure in the Materials Project, relaxed with PBE.
Kinematic intensities with the Lorentz-polarization factor, no thermal factor.

Atomic structure:
```
data_UV5P3
_cell_length_a 7.513
_cell_length_b 3.317
_cell_length_c 10.253
_cell_angle_alpha 90.00
_cell_angle_beta 100.42
_cell_angle_gamma 90.00
_symmetry_space_group_name_H-M 'P 1 21/m 1'
_symmetry_Int_Tables_number 11
_symmetry_space_group_name_Hall '-P 2yb'
loop_
_atom_site_label
_atom_site_type_symbol
_atom_site_fract_x
_atom_site_fract_y
_atom_site_fract_z
U1 U 0.193 0.250 0.281
V1 V 0.074 0.250 0.595
V2 V 0.129 0.750 0.013
V3 V 0.315 0.750 0.769
V4 V 0.377 0.250 0.000
V5 V 0.470 0.250 0.592
P1 P 0.098 0.250 0.836
P2 P 0.251 0.750 0.510
P3 P 0.432 0.750 0.172
```

Main lines, low angle first (2θ = 10–90°):
2θ 13.51, d = 6.552 Å, intensity 45, (1 0 -1); 2θ 16.10, d = 5.504 Å, intensity 48, (1 0 1); 2θ 24.10, d = 3.693 Å, intensity 29, (2 0 -1); 2θ 29.52, d = 3.026 Å, intensity 29, (1 1 0); 2θ 32.57, d = 2.749 Å, intensity 45, (2 0 2); 2θ 36.43, d = 2.466 Å, intensity 42, (3 0 0); 2θ 38.12, d = 2.361 Å, intensity 60, (0 1 3); 2θ 38.58, d = 2.334 Å, intensity 100, (2 1 1); 2θ 38.63, d = 2.331 Å, intensity 79, (2 1 -2); 2θ 48.47, d = 1.878 Å, intensity 31, (4 0 -1)

This entry pairs a crystal structure of V2P with its computed powder X-ray diffraction pattern. Radiation: λ = 1.5418 Å (Cu Kα). Structure: a crystal structure in the Materials Project, relaxed with PBE.
Kinematic intensities with the Lorentz-polarization factor, no thermal factor.

Atomic structure:
```
data_V2P
_cell_length_a 6.184
_cell_length_b 3.274
_cell_length_c 7.568
_cell_angle_alpha 90.00
_cell_angle_beta 90.00
_cell_angle_gamma 90.00
_symmetry_space_group_name_H-M 'P n m a'
_symmetry_Int_Tables_number 62
_symmetry_space_group_name_Hall '-P 2ac 2n'
loop_
_atom_site_label
_atom_site_type_symbol
_atom_site_fract_x
_atom_site_fract_y
_atom_site_fract_z
V1 V 0.040 0.250 0.166
V2 V 0.139 0.250 0.559
P1 P 0.248 0.750 0.358
```

Main lines, low angle first (2θ = 10–90°):
2θ 38.55, d = 2.336 Å, intensity 50, (1 0 3); 2θ 39.20, d = 2.298 Å, intensity 100, (1 1 2); 2θ 40.11, d = 2.248 Å, intensity 59, (2 1 0); 2θ 41.93, d = 2.155 Å, intensity 83, (2 1 1); 2θ 45.39, d = 1.998 Å, intensity 26, (0 1 3); 2θ 45.61, d = 1.989 Å, intensity 27, (3 0 1); 2θ 47.84, d = 1.901 Å, intensity 42, (1 1 3); 2θ 50.42, d = 1.810 Å, intensity 41, (3 0 2); 2θ 56.20, d = 1.637 Å, intensity 33, (0 2 0); 2θ 78.84, d = 1.214 Å, intensity 20, (3 2 2)

This entry pairs a crystal structure of V5P3 with its computed powder X-ray diffraction pattern. Radiation: λ = 1.5418 Å (Cu Kα). Structure: a crystal structure in the Materials Project, relaxed with PBE.
Kinematic intensities with the Lorentz-polarization factor, no thermal factor.

Atomic structure:
```
data_V5P3
_cell_length_a 6.9440
_cell_length_b 6.9440
_cell_length_c 4.8003
_cell_angle_alpha 90.00
_cell_angle_beta 90.00
_cell_angle_gamma 120.00
_symmetry_space_group_name_H-M 'P 63/m c m'
_symmetry_Int_Tables_number 193
_symmetry_space_group_name_Hall '-P 6c 2'
loop_
_atom_site_label
_atom_site_type_symbol
_atom_site_fract_x
_atom_site_fract_y
_atom_site_fract_z
V1 V 0.0000 0.2542 0.2500
V2 V 0.3333 0.6667 0.0000
P1 P 0.0000 0.3872 0.7500
```

Main lines, low angle first (2θ = 10–90°):
2θ 29.71, d = 3.007 Å, intensity 16, (2 0 0); 2θ 37.47, d = 2.400 Å, intensity 15, (0 0 2); 2θ 39.65, d = 2.273 Å, intensity 39, (2 1 0); 2θ 40.47, d = 2.229 Å, intensity 25, (1 0 2); 2θ 44.08, d = 2.054 Å, intensity 100, (2 1 1); 2θ 45.24, d = 2.005 Å, intensity 63, (3 0 0); 2θ 45.97, d = 1.974 Å, intensity 93, (1 1 2); 2θ 66.47, d = 1.407 Å, intensity 21, (2 2 2); 2θ 72.20, d = 1.308 Å, intensity 20, (2 1 3); 2θ 74.47, d = 1.274 Å, intensity 15, (4 0 2)

This entry pairs a crystal structure of ZrVP with its computed powder X-ray diffraction pattern. Radiation: λ = 1.5418 Å (Cu Kα). Structure: a crystal structure in the Materials Project, relaxed with PBE.
Kinematic intensities with the Lorentz-polarization factor, no thermal factor.

Atomic structure:
```
data_ZrVP
_cell_length_a 6.637
_cell_length_b 3.520
_cell_length_c 7.924
_cell_angle_alpha 90.00
_cell_angle_beta 90.00
_cell_angle_gamma 90.00
_symmetry_space_group_name_H-M 'P n m a'
_symmetry_Int_Tables_number 62
_symmetry_space_group_name_Hall '-P 2ac 2n'
loop_
_atom_site_label
_atom_site_type_symbol
_atom_site_fract_x
_atom_site_fract_y
_atom_site_fract_z
Zr1 Zr 0.039 0.250 0.169
V1 V 0.129 0.250 0.558
P1 P 0.238 0.750 0.364
```

Main lines, low angle first (2θ = 10–90°):
2θ 27.73, d = 3.217 Å, intensity 16, (0 1 1); 2θ 36.62, d = 2.454 Å, intensity 53, (1 0 3); 2θ 36.74, d = 2.446 Å, intensity 100, (1 1 2); 2θ 37.24, d = 2.415 Å, intensity 37, (2 1 0); 2θ 39.00, d = 2.310 Å, intensity 74, (2 1 1); 2θ 42.42, d = 2.131 Å, intensity 17, (3 0 1); 2θ 45.03, d = 2.013 Å, intensity 22, (1 1 3); 2θ 47.05, d = 1.932 Å, intensity 25, (3 0 2); 2θ 51.95, d = 1.760 Å, intensity 25, (0 2 0); 2θ 65.24, d = 1.430 Å, intensity 25, (1 2 3)

This entry pairs a crystal structure of P2W with its computed powder X-ray diffraction pattern. Radiation: λ = 1.5418 Å (Cu Kα). Structure: a crystal structure in the Materials Project, relaxed with PBE.
Kinematic intensities with the Lorentz-polarization factor, no thermal factor.

Atomic structure:
```
data_P2W
_cell_length_a 8.526
_cell_length_b 3.184
_cell_length_c 7.541
_cell_angle_alpha 90.00
_cell_angle_beta 119.34
_cell_angle_gamma 90.00
_symmetry_space_group_name_H-M 'C 1 2/m 1'
_symmetry_Int_Tables_number 12
_symmetry_space_group_name_Hall '-C 2y'
loop_
_atom_site_label
_atom_site_type_symbol
_atom_site_fract_x
_atom_site_fract_y
_atom_site_fract_z
P1 P 0.101 0.000 0.399
P2 P 0.138 0.500 0.024
W1 W 0.158 0.500 0.707
```

Main lines, low angle first (2θ = 10–90°):
2θ 20.92, d = 4.247 Å, intensity 100, (2 0 -1); 2θ 25.94, d = 3.435 Å, intensity 56, (2 0 -2); 2θ 27.13, d = 3.287 Å, intensity 42, (0 0 2); 2θ 30.96, d = 2.889 Å, intensity 87, (1 1 -1); 2θ 35.93, d = 2.500 Å, intensity 100, (1 1 1); 2θ 43.77, d = 2.068 Å, intensity 56, (3 1 -2); 2θ 45.29, d = 2.002 Å, intensity 49, (1 1 2); 2θ 46.45, d = 1.955 Å, intensity 56, (3 1 0); 2θ 46.75, d = 1.943 Å, intensity 47, (1 1 -3); 2θ 49.01, d = 1.859 Å, intensity 47, (4 0 0)

This entry pairs a crystal structure of PW3 with its computed powder X-ray diffraction pattern. Radiation: λ = 1.5418 Å (Cu Kα). Structure: a crystal structure in the Materials Project, relaxed with PBE.
Kinematic intensities with the Lorentz-polarization factor, no thermal factor.

Atomic structure:
```
data_PW3
_cell_length_a 9.884
_cell_length_b 9.884
_cell_length_c 4.862
_cell_angle_alpha 90.00
_cell_angle_beta 90.00
_cell_angle_gamma 90.00
_symmetry_space_group_name_H-M 'I -4 2 m'
_symmetry_Int_Tables_number 121
_symmetry_space_group_name_Hall 'I -4 2'
loop_
_atom_site_label
_atom_site_type_symbol
_atom_site_fract_x
_atom_site_fract_y
_atom_site_fract_z
P1 P 0.000 0.292 0.000
W1 W 0.000 0.354 0.500
W2 W 0.094 0.094 0.268
W3 W 0.199 0.199 0.773
```

Main lines, low angle first (2θ = 10–90°):
2θ 32.84, d = 2.727 Å, intensity 34, (3 0 1); 2θ 37.67, d = 2.388 Å, intensity 92, (3 2 1); 2θ 38.65, d = 2.330 Å, intensity 41, (3 3 0); 2θ 39.24, d = 2.296 Å, intensity 54, (1 1 2); 2θ 40.83, d = 2.210 Å, intensity 28, (4 2 0); 2θ 42.02, d = 2.150 Å, intensity 100, (4 1 1); 2θ 45.45, d = 1.996 Å, intensity 24, (2 2 2); 2θ 60.03, d = 1.541 Å, intensity 18, (6 1 1); 2θ 66.95, d = 1.398 Å, intensity 22, (5 5 0); 2θ 67.09, d = 1.395 Å, intensity 19, (3 2 3)

This entry pairs a crystal structure of P2W with its computed powder X-ray diffraction pattern. Radiation: λ = 1.5418 Å (Cu Kα). Structure: a crystal structure in the Materials Project, relaxed with PBE.
Kinematic intensities with the Lorentz-polarization factor, no thermal factor.

Atomic structure:
```
data_P2W
_cell_length_a 3.181
_cell_length_b 11.237
_cell_length_c 5.007
_cell_angle_alpha 90.00
_cell_angle_beta 90.00
_cell_angle_gamma 90.00
_symmetry_space_group_name_H-M 'C m c 21'
_symmetry_Int_Tables_number 36
_symmetry_space_group_name_Hall 'C 2c -2'
loop_
_atom_site_label
_atom_site_type_symbol
_atom_site_fract_x
_atom_site_fract_y
_atom_site_fract_z
P1 P 0.000 0.070 0.000
P2 P 0.000 0.202 0.684
W1 W 0.000 0.406 0.883
```

Main lines, low angle first (2θ = 10–90°):
2θ 15.77, d = 5.619 Å, intensity 25, (0 2 0); 2θ 23.80, d = 3.738 Å, intensity 100, (0 2 1); 2θ 29.17, d = 3.061 Å, intensity 37, (1 1 0); 2θ 34.34, d = 2.612 Å, intensity 57, (1 1 1); 2θ 35.87, d = 2.504 Å, intensity 22, (0 0 2); 2θ 36.68, d = 2.450 Å, intensity 25, (0 4 1); 2θ 41.37, d = 2.182 Å, intensity 90, (1 3 1); 2θ 46.88, d = 1.938 Å, intensity 40, (1 1 2); 2θ 49.67, d = 1.836 Å, intensity 25, (1 5 0); 2θ 63.55, d = 1.464 Å, intensity 18, (2 2 1)

This entry pairs a crystal structure of PW with its computed powder X-ray diffraction pattern. Radiation: λ = 1.5418 Å (Cu Kα). Structure: a crystal structure in the Materials Project, relaxed with PBE.
Kinematic intensities with the Lorentz-polarization factor, no thermal factor.

Atomic structure:
```
data_PW
_cell_length_a 5.758
_cell_length_b 3.266
_cell_length_c 6.269
_cell_angle_alpha 90.00
_cell_angle_beta 90.00
_cell_angle_gamma 90.00
_symmetry_space_group_name_H-M 'P n m a'
_symmetry_Int_Tables_number 62
_symmetry_space_group_name_Hall '-P 2ac 2n'
loop_
_atom_site_label
_atom_site_type_symbol
_atom_site_fract_x
_atom_site_fract_y
_atom_site_fract_z
P1 P 0.184 0.250 0.066
W1 W 0.014 0.250 0.688
```

Main lines, low angle first (2θ = 10–90°):
2θ 20.95, d = 4.241 Å, intensity 34, (1 0 1); 2θ 28.47, d = 3.135 Å, intensity 30, (0 0 2); 2θ 30.87, d = 2.897 Å, intensity 100, (0 1 1); 2θ 31.07, d = 2.879 Å, intensity 51, (2 0 0); 2θ 42.64, d = 2.120 Å, intensity 35, (2 0 2); 2θ 42.97, d = 2.105 Å, intensity 62, (1 1 2); 2θ 44.36, d = 2.042 Å, intensity 93, (2 1 1); 2θ 46.21, d = 1.964 Å, intensity 40, (1 0 3); 2θ 68.36, d = 1.372 Å, intensity 25, (1 1 4); 2θ 85.30, d = 1.138 Å, intensity 20, (3 1 4)

This entry pairs a crystal structure of PW3 with its computed powder X-ray diffraction pattern. Radiation: λ = 1.5418 Å (Cu Kα). Structure: a crystal structure in the Materials Project, relaxed with PBE.
Kinematic intensities with the Lorentz-polarization factor, no thermal factor.

Atomic structure:
```
data_PW3
_cell_length_a 9.906
_cell_length_b 9.906
_cell_length_c 4.858
_cell_angle_alpha 90.00
_cell_angle_beta 90.00
_cell_angle_gamma 90.00
_symmetry_space_group_name_H-M 'I -4'
_symmetry_Int_Tables_number 82
_symmetry_space_group_name_Hall 'I -4'
loop_
_atom_site_label
_atom_site_type_symbol
_atom_site_fract_x
_atom_site_fract_y
_atom_site_fract_z
P1 P 0.009 0.292 0.000
W1 W 0.004 0.355 0.499
W2 W 0.091 0.904 0.268
W3 W 0.194 0.795 0.769
```

Main lines, low angle first (2θ = 10–90°):
2θ 32.79, d = 2.731 Å, intensity 33, (3 0 1); 2θ 37.61, d = 2.392 Å, intensity 93, (2 3 1); 2θ 38.56, d = 2.335 Å, intensity 40, (3 3 0); 2θ 39.26, d = 2.295 Å, intensity 54, (1 1 2); 2θ 40.73, d = 2.215 Å, intensity 28, (2 4 0); 2θ 41.95, d = 2.154 Å, intensity 100, (4 1 1); 2θ 45.44, d = 1.996 Å, intensity 24, (2 2 2); 2θ 59.90, d = 1.544 Å, intensity 18, (6 1 1); 2θ 66.77, d = 1.401 Å, intensity 22, (5 5 0); 2θ 67.09, d = 1.395 Å, intensity 19, (2 3 3)

This entry pairs a crystal structure of Y3P with its computed powder X-ray diffraction pattern. Radiation: λ = 1.5418 Å (Cu Kα). Structure: a crystal structure in the Materials Project, relaxed with PBE.
Kinematic intensities with the Lorentz-polarization factor, no thermal factor.

Atomic structure:
```
data_Y3P
_cell_length_a 4.429
_cell_length_b 4.429
_cell_length_c 10.293
_cell_angle_alpha 90.00
_cell_angle_beta 90.00
_cell_angle_gamma 90.00
_symmetry_space_group_name_H-M 'I 4/m m m'
_symmetry_Int_Tables_number 139
_symmetry_space_group_name_Hall '-I 4 2'
loop_
_atom_site_label
_atom_site_type_symbol
_atom_site_fract_x
_atom_site_fract_y
_atom_site_fract_z
Y1 Y 0.000 0.000 0.000
Y2 Y 0.000 0.500 0.250
P1 P 0.000 0.000 0.500
```

Main lines, low angle first (2θ = 10–90°):
2θ 21.85, d = 4.068 Å, intensity 11, (1 0 1); 2θ 33.50, d = 2.675 Å, intensity 100, (1 1 2); 2θ 34.87, d = 2.573 Å, intensity 22, (0 0 4); 2θ 40.75, d = 2.214 Å, intensity 29, (2 0 0); 2θ 54.69, d = 1.678 Å, intensity 24, (2 0 4); 2θ 58.99, d = 1.566 Å, intensity 9, (2 2 0); 2θ 61.65, d = 1.505 Å, intensity 16, (1 1 6); 2θ 69.57, d = 1.351 Å, intensity 22, (3 1 2); 2θ 70.39, d = 1.338 Å, intensity 11, (2 2 4); 2θ 87.74, d = 1.112 Å, intensity 6, (2 0 8)

This entry pairs a crystal structure of YP5 with its computed powder X-ray diffraction pattern. Radiation: λ = 1.5418 Å (Cu Kα). Structure: a crystal structure in the Materials Project, relaxed with PBE.
Kinematic intensities with the Lorentz-polarization factor, no thermal factor.

Atomic structure:
```
data_YP5
_cell_length_a 4.959
_cell_length_b 9.438
_cell_length_c 5.365
_cell_angle_alpha 90.00
_cell_angle_beta 102.12
_cell_angle_gamma 90.00
_symmetry_space_group_name_H-M 'P 1 21/m 1'
_symmetry_Int_Tables_number 11
_symmetry_space_group_name_Hall '-P 2yb'
loop_
_atom_site_label
_atom_site_type_symbol
_atom_site_fract_x
_atom_site_fract_y
_atom_site_fract_z
Y1 Y 0.003 0.250 0.346
P1 P 0.277 0.250 0.892
P2 P 0.286 0.528 0.405
P3 P 0.384 0.593 0.045
```

Main lines, low angle first (2θ = 10–90°):
2θ 24.14, d = 3.686 Å, intensity 48, (1 1 -1); 2θ 26.36, d = 3.382 Å, intensity 91, (1 2 0); 2θ 27.55, d = 3.238 Å, intensity 40, (1 0 1); 2θ 29.21, d = 3.057 Å, intensity 100, (1 2 -1); 2θ 33.21, d = 2.698 Å, intensity 29, (0 3 1); 2θ 33.97, d = 2.639 Å, intensity 35, (1 3 0); 2θ 35.32, d = 2.541 Å, intensity 30, (1 0 -2); 2θ 35.53, d = 2.527 Å, intensity 44, (0 1 2); 2θ 41.94, d = 2.154 Å, intensity 42, (2 2 0); 2θ 45.91, d = 1.977 Å, intensity 30, (1 3 -2)